# 1
# CeBr3Cl
Computed X-ray powder pattern, Cu Kα (λ = 1.5418 Å). Input: a structure optimized by DFT (PBE).

Main lines, most intense first (2θ = 15–90°):
- 2θ = 27.9°, I 100
- 2θ = 18.6°, I 38
- 2θ = 29.3°, I 38
- 2θ = 47.2°, I 38
- 2θ = 45.3°, I 34
- 2θ = 36.4°, I 27

Cell and atoms:
a = 8.034 Å, b = 8.034 Å, c = 8.034 Å
α = 115.18°, β = 106.09°, γ = 107.30°
Fractional positions:
1 Ce 0.500 0.000 0.000
2 Ce 0.500 0.500 0.500
3 Br 0.223 0.000 0.723
4 Br 0.223 0.500 0.223
5 Br 0.296 0.046 0.250
6 Br 0.704 0.954 0.750
7 Br 0.777 0.000 0.277
8 Br 0.777 0.500 0.777
9 Cl 0.322 0.572 0.750
10 Cl 0.678 0.428 0.250

=====

# 2
# Li2PaTcO8
Computed X-ray powder pattern, Cu Kα (λ = 1.5418 Å). Input: a structure optimized by DFT (PBE).

Main lines, most intense first (2θ = 15–90°):
- 2θ = 18.7°, I 100
- 2θ = 33.4°, I 40
- 2θ = 38.2°, I 29
- 2θ = 26.1°, I 27
- 2θ = 27.2°, I 23
- 2θ = 27.4°, I 19

Cell and atoms:
a = 4.737 Å, b = 6.516 Å, c = 4.737 Å
α = 90.00°, β = 92.29°, γ = 90.00°
Fractional positions:
1 Li 0.000 0.231 0.000
2 Li 0.000 0.769 0.000
3 Pa 0.500 0.500 0.500
4 Tc 0.500 0.000 0.500
5 O 0.203 0.500 0.201
6 O 0.224 0.000 0.222
7 O 0.310 0.222 0.688
8 O 0.310 0.778 0.688
9 O 0.690 0.222 0.312
10 O 0.690 0.778 0.312
11 O 0.776 0.000 0.778
12 O 0.797 0.500 0.799

=====

# 3
# Hf2BeH6
Computed X-ray powder pattern, Cu Kα (λ = 1.5418 Å). Input: a structure optimized by DFT (PBE).

Main lines, most intense first (2θ = 15–90°):
- 2θ = 35.9°, I 100
- 2θ = 28.8°, I 92
- 2θ = 40.5°, I 84
- 2θ = 25.0°, I 79
- 2θ = 52.4°, I 68
- 2θ = 32.8°, I 67

Cell and atoms:
a = 3.587 Å, b = 3.587 Å, c = 7.191 Å
α = 96.72°, β = 96.72°, γ = 49.65°
Fractional positions:
1 Hf 0.126 0.126 0.308
2 Hf 0.874 0.874 0.692
3 Be 0.500 0.500 0.000
4 H 0.175 0.175 0.590
5 H 0.304 0.304 0.872
6 H 0.416 0.416 0.213
7 H 0.584 0.584 0.787
8 H 0.696 0.696 0.128
9 H 0.825 0.825 0.410

=====

# 4
# LaTbCoCl
Computed X-ray powder pattern, Cu Kα (λ = 1.5418 Å). Input: a structure optimized by DFT (PBE).

Main lines, most intense first (2θ = 15–90°):
- 2θ = 32.9°, I 100
- 2θ = 46.6°, I 39
- 2θ = 30.7°, I 30
- 2θ = 47.9°, I 30
- 2θ = 26.7°, I 29
- 2θ = 27.6°, I 21

Cell and atoms:
a = 3.896 Å, b = 3.896 Å, c = 22.957 Å
α = 90.00°, β = 90.00°, γ = 120.00°
Fractional positions:
1 La 0.000 0.000 0.000
2 La 0.333 0.667 0.667
3 La 0.667 0.333 0.333
4 Tb 0.000 0.000 0.798
5 Tb 0.333 0.667 0.464
6 Tb 0.667 0.333 0.131
7 Co 0.000 0.000 0.398
8 Co 0.333 0.667 0.065
9 Co 0.667 0.333 0.732
10 Cl 0.000 0.000 0.224
11 Cl 0.333 0.667 0.891
12 Cl 0.667 0.333 0.557

=====

# 5
# Cs2InHCl6
Computed X-ray powder pattern, Cu Kα (λ = 1.5418 Å). Input: a structure optimized by DFT (PBE).

Main lines, most intense first (2θ = 15–90°):
- 2θ = 23.6°, I 100
- 2θ = 28.4°, I 76
- 2θ = 31.6°, I 74
- 2θ = 22.2°, I 56
- 2θ = 39.8°, I 44
- 2θ = 48.3°, I 26

Cell and atoms:
a = 7.589 Å, b = 7.589 Å, c = 7.589 Å
α = 116.20°, β = 116.20°, γ = 96.71°
Fractional positions:
1 Cs 0.000 0.500 0.500
2 Cs 0.500 0.000 0.500
3 In 0.292 0.292 0.000
4 H 0.792 0.792 0.000
5 Cl 0.024 0.024 0.569
6 Cl 0.024 0.455 0.000
7 Cl 0.455 0.024 0.000
8 Cl 0.455 0.455 0.431
9 Cl 0.533 0.533 0.000
10 Cl 0.921 0.921 0.000